Diffraction record for LaPmSbBr. The X-ray diffraction stick pattern is theoretical, not measured: it uses the PBE geometry in Alexandria and Cu Kα (weighted mean of Kα1 and Kα2).

Structural model:
```
LaPmSbBr
1.0
7.6855 0.0000 0.0000
0.0000 7.6855 0.0000
0.0000 0.0000 7.6855
La Pm Sb Br
4 4 4 4
direct
0.0000 0.0000 0.0000
0.0000 0.5000 0.5000
0.5000 0.0000 0.5000
0.5000 0.5000 0.0000
0.0000 0.0000 0.5000
0.0000 0.5000 0.0000
0.5000 0.0000 0.0000
0.5000 0.5000 0.5000
0.2500 0.2500 0.2500
0.2500 0.7500 0.7500
0.7500 0.2500 0.7500
0.7500 0.7500 0.2500
0.2500 0.2500 0.7500
0.2500 0.7500 0.2500
0.7500 0.2500 0.2500
0.7500 0.7500 0.7500
```

The 9 most intense peaks (5° ≤ 2θ ≤ 70°), sorted by position:
d_spacing  intensity
4.437  15
3.843  33
2.717  1000
2.317  9
2.219  10
1.921  180
1.719  15
1.569  373
1.359  115

***

Diffraction record for BaSm2Rh9. The X-ray diffraction stick pattern is theoretical, not measured: it uses the PBE geometry in Alexandria and Cu Kα (weighted mean of Kα1 and Kα2).

Structural model:
```
BaSm2Rh9
1.0
2.6935 1.5551 8.8024
-2.6935 1.5551 8.8024
0.0000 -3.1101 8.8024
Ba Sm Rh
1 2 9
direct
0.0000 0.0000 0.0000
0.1388 0.1388 0.1388
0.8612 0.8612 0.8612
0.0835 0.5837 0.5837
0.3329 0.3329 0.3329
0.4163 0.4163 0.9165
0.4163 0.9165 0.4163
0.5000 0.5000 0.5000
0.5837 0.0835 0.5837
0.5837 0.5837 0.0835
0.6671 0.6671 0.6671
0.9165 0.4163 0.4163
```

The 10 most intense peaks (5° ≤ 2θ ≤ 70°), sorted by position:
d_spacing  intensity
2.933  238
2.694  524
2.324  301
2.297  1000
2.200  298
2.134  463
1.984  92
1.555  158
1.466  312
1.347  229

***

Diffraction record for Nd3AlGe. The X-ray diffraction stick pattern is theoretical, not measured: it uses the PBE geometry in Alexandria and Cu Kα (weighted mean of Kα1 and Kα2).

Structural model:
```
Nd3AlGe
1.0
4.2192 0.0000 0.0000
2.0971 7.7895 0.0000
0.0061 0.4611 8.6815
Nd Al Ge
6 2 2
direct
0.0480 0.4034 0.1727
0.2366 0.0264 0.8221
0.4068 0.6835 0.4149
0.5932 0.3165 0.5851
0.7634 0.9736 0.1779
0.9520 0.5966 0.8273
0.2086 0.0838 0.4346
0.7914 0.9162 0.5654
0.3922 0.7156 0.0654
0.6078 0.2844 0.9346
```

The 10 most intense peaks (5° ≤ 2θ ≤ 70°), sorted by position:
d_spacing  intensity
3.097  1000
3.029  470
2.991  627
2.823  526
2.593  264
2.504  374
2.383  294
2.344  402
2.110  350
1.823  242

***

Diffraction record for RbCe4Br12. The X-ray diffraction stick pattern is theoretical, not measured: it uses the PBE geometry in Alexandria and Cu Kα (weighted mean of Kα1 and Kα2).

Structural model:
```
RbCe4Br12
1.0
-5.5981 5.7463 5.7659
5.5981 -5.7463 5.7659
5.5981 5.7463 -5.7659
Rb Ce Br
1 4 12
direct
0.0000 0.0000 0.0000
0.0000 0.0000 0.5000
0.0000 0.5000 0.0000
0.5000 0.0000 0.0000
0.5000 0.5000 0.5000
0.0041 0.6942 0.3099
0.2516 0.1849 0.4365
0.2516 0.8151 0.0667
0.2560 0.0743 0.8183
0.2560 0.4377 0.1817
0.3842 0.6942 0.6901
0.6158 0.3058 0.3099
0.7440 0.5623 0.8183
0.7440 0.9257 0.1817
0.7484 0.1849 0.9333
0.7484 0.8151 0.5635
0.9959 0.3058 0.6901
```

The 10 most intense peaks (5° ≤ 2θ ≤ 70°), sorted by position:
d_spacing  intensity
5.756  1000
5.598  308
4.013  261
3.022  397
2.883  326
2.873  309
2.559  388
2.517  251
2.339  301
2.306  304

***

Diffraction record for BeTl2SiS4. The X-ray diffraction stick pattern is theoretical, not measured: it uses the PBE geometry in Alexandria and Cu Kα (weighted mean of Kα1 and Kα2).

Structural model:
```
BeTl2SiS4
1.0
6.7204 0.0000 0.0000
0.0000 6.7204 0.0000
0.0000 0.0000 8.2399
Be Tl Si S
2 4 2 8
direct
0.0000 0.0000 0.0000
0.5000 0.5000 0.5000
0.0000 0.0000 0.5000
0.0000 0.5000 0.7500
0.5000 0.0000 0.2500
0.5000 0.5000 0.0000
0.0000 0.5000 0.2500
0.5000 0.0000 0.7500
0.1275 0.2539 0.1176
0.2461 0.6275 0.3824
0.2539 0.8725 0.8824
0.3725 0.2461 0.6176
0.6275 0.7539 0.6176
0.7461 0.1275 0.8824
0.7539 0.3725 0.3824
0.8725 0.7461 0.1176
```

The 10 most intense peaks (5° ≤ 2θ ≤ 70°), sorted by position:
d_spacing  intensity
5.208  714
3.360  404
3.113  1000
2.823  757
2.542  270
2.376  232
2.162  173
2.027  156
1.889  465
1.756  241

***

Diffraction record for In2GaSn. The X-ray diffraction stick pattern is theoretical, not measured: it uses the PBE geometry in Alexandria and Cu Kα (weighted mean of Kα1 and Kα2).

Structural model:
```
In2GaSn
1.0
4.5378 0.0000 0.0000
-2.2689 3.9298 0.0000
0.0000 0.0000 18.3889
In Ga Sn
6 3 3
direct
0.0000 0.0000 0.0000
0.0000 0.0000 0.1860
0.3333 0.6667 0.6667
0.3333 0.6667 0.8526
0.6667 0.3333 0.3333
0.6667 0.3333 0.5193
0.0000 0.0000 0.5925
0.3333 0.6667 0.2591
0.6667 0.3333 0.9258
0.0000 0.0000 0.4293
0.3333 0.6667 0.0960
0.6667 0.3333 0.7627
```

The 10 most intense peaks (5° ≤ 2θ ≤ 70°), sorted by position:
d_spacing  intensity
3.843  266
3.614  374
2.987  338
2.685  1000
2.269  837
2.184  367
1.733  266
1.666  84
1.573  129
1.377  245

***

Diffraction record for NaLiEuCd. The X-ray diffraction stick pattern is theoretical, not measured: it uses the PBE geometry in Alexandria and Cu Kα (weighted mean of Kα1 and Kα2).

Structural model:
```
NaLiEuCd
1.0
7.7664 0.0000 0.0000
0.0000 7.7664 0.0000
0.0000 0.0000 7.7664
Na Li Eu Cd
4 4 4 4
direct
0.0000 0.0000 0.0000
0.0000 0.5000 0.5000
0.5000 0.0000 0.5000
0.5000 0.5000 0.0000
0.2500 0.2500 0.7500
0.2500 0.7500 0.2500
0.7500 0.2500 0.2500
0.7500 0.7500 0.7500
0.0000 0.0000 0.5000
0.0000 0.5000 0.0000
0.5000 0.0000 0.0000
0.5000 0.5000 0.5000
0.2500 0.2500 0.2500
0.2500 0.7500 0.7500
0.7500 0.2500 0.7500
0.7500 0.7500 0.2500
```

The 10 most intense peaks (5° ≤ 2θ ≤ 70°), sorted by position:
d_spacing  intensity
4.484  730
3.883  43
2.746  1000
2.342  411
1.942  179
1.782  177
1.737  20
1.585  368
1.495  132
1.373  112

***

Diffraction record for TaPt3Rh2. The X-ray diffraction stick pattern is theoretical, not measured: it uses the PBE geometry in Alexandria and Cu Kα (weighted mean of Kα1 and Kα2).

Structural model:
```
TaPt3Rh2
1.0
0.0000 3.9286 8.4140
2.7932 0.0000 8.4140
2.7932 3.9286 0.0000
Ta Pt Rh
2 6 4
direct
0.1250 0.1250 0.1250
0.8750 0.8750 0.8750
0.0438 0.0438 0.7062
0.2938 0.2938 0.9562
0.3750 0.3750 0.3750
0.6250 0.6250 0.6250
0.7062 0.7062 0.0438
0.9562 0.9562 0.2938
0.2099 0.2099 0.5401
0.4599 0.4599 0.7901
0.5401 0.5401 0.2099
0.7901 0.7901 0.4599
```

The 10 most intense peaks (5° ≤ 2θ ≤ 70°), sorted by position:
d_spacing  intensity
4.395  24
3.535  113
2.283  1000
2.276  996
2.184  33
1.979  655
1.964  321
1.402  107
1.397  107
1.394  422